Simulated powder XRD pattern
Compound: TbSc2Ga3
Radiation: Cu Kα, 1.54184 Å
Structure: the GGA-PBE geometry in Alexandria

Crystal structure
```
6
Lattice="3.428 0.000 0.000 0.000 3.428 0.000 0.000 0.000 10.353" Properties=species:S:1:pos:R:3 pbc="T T T"
Tb 0.000 0.000 0.000
Sc 0.000 0.000 3.541
Sc 0.000 0.000 6.812
Ga 1.714 1.714 1.923
Ga 1.714 1.714 5.176
Ga 1.714 1.714 8.429
```

Most intense lines, 2θ = 5–70°, sorted by position:
2θ/deg, I_rel
8.5, 276
17.1, 67
27.4, 160
31.3, 167
37.0, 1000
37.1, 519
53.1, 75
53.5, 175
66.5, 147
66.8, 334

Simulated powder XRD pattern
Compound: Tb4ScGa
Radiation: Cu Kα, 1.54184 Å
Structure: the GGA-PBE geometry in Alexandria

Crystal structure
```
12
Lattice="4.372 -6.706 0.000 4.372 6.706 0.000 -1.932 0.000 5.839" Properties=species:S:1:pos:R:3 pbc="T T T"
Tb 1.647 4.247 5.556
Tb 1.291 1.402 3.643
Tb 4.198 4.247 3.203
Tb 2.257 -1.402 0.724
Tb 4.554 1.402 5.115
Tb 2.614 -4.247 2.636
Tb 5.521 -1.402 2.196
Tb 5.164 -4.247 0.283
Sc 3.889 1.345 1.460
Sc 2.923 -1.345 4.379
Ga 3.889 -6.702 1.460
Ga 2.923 6.702 4.379
```

Most intense lines, 2θ = 5–70°, sorted by position:
2θ/deg, I_rel
25.3, 330
29.2, 312
29.8, 425
31.8, 823
33.0, 1000
34.8, 286
35.2, 410
35.4, 622
52.0, 238
55.3, 225

Simulated powder XRD pattern
Compound: Sc6GaTc2
Radiation: Cu Kα, 1.54184 Å
Structure: the GGA-PBE geometry in Alexandria

Crystal structure
```
18
Lattice="-4.404 4.419 4.850 4.404 -4.419 4.850 4.404 4.419 -4.850" Properties=species:S:1:pos:R:3 pbc="T T T"
Sc 4.404 -2.712 3.241
Sc 2.651 0.000 2.414
Sc 6.158 0.000 2.414
Sc 2.790 2.434 0.000
Sc 6.018 2.434 0.000
Sc 0.000 1.707 1.609
Sc 4.404 2.712 3.241
Sc -1.614 1.985 4.850
Sc 1.614 1.985 4.850
Sc -1.754 4.419 2.436
Sc 1.754 4.419 2.436
Sc 0.000 7.131 1.609
Ga 4.404 0.000 0.000
Ga 0.000 4.419 0.000
Tc 1.561 0.000 0.000
Tc 7.247 0.000 0.000
Tc 0.000 0.000 3.638
Tc 0.000 0.000 6.062
```

Most intense lines, 2θ = 5–70°, sorted by position:
2θ/deg, I_rel
14.2, 327
20.1, 526
24.4, 332
34.2, 337
35.9, 463
37.2, 658
37.9, 1000
40.8, 336
41.5, 270
49.8, 270

Simulated powder XRD pattern
Compound: Sc4GaTc2
Radiation: Cu Kα, 1.54184 Å
Structure: the GGA-PBE geometry in Alexandria

Crystal structure
```
14
Lattice="2.401 -4.159 0.000 2.401 4.159 0.000 0.000 0.000 13.612" Properties=species:S:1:pos:R:3 pbc="T T T"
Sc 0.000 0.000 0.000
Sc 0.000 0.000 6.806
Sc 2.401 1.390 8.622
Sc 2.401 1.390 11.796
Sc 2.401 1.382 3.403
Sc 2.401 -1.382 10.209
Sc 2.401 -1.390 1.816
Sc 2.401 -1.390 4.990
Ga 2.401 4.154 3.403
Ga 2.401 -4.154 10.209
Tc 2.401 1.385 0.606
Tc 2.401 1.385 6.200
Tc 2.401 -1.385 7.412
Tc 2.401 -1.385 13.007
```

Most intense lines, 2θ = 5–70°, sorted by position:
2θ/deg, I_rel
13.0, 173
25.1, 206
26.2, 113
34.0, 117
37.5, 1000
39.6, 638
46.3, 141
55.6, 224
67.6, 161
69.0, 250